Starting from a PBE-relaxed structure, the powder diffraction line list of Ga2AgAuSe4 was computed for Cu Kα.
Intensities are scaled so that the largest is 1000.

Largest 10 diffraction maxima, sorted by position, 2θ from 5° to 70°:
two_theta  intensity  h k l
16.69  103  1 0 1
26.19  1000  1 1 2
27.84  63  1 0 3
34.31  82  1 2 1
42.57  274  2 2 0
43.86  474  2 0 4
50.68  313  3 1 2
52.91  141  1 1 6
61.79  81  4 0 0
68.28  61  3 3 2

```
data_Ga2AgAuSe4
_symmetry_space_group_name_H-M 'P 1'
_symmetry_Int_Tables_number 1
_cell_length_a 6.0055
_cell_length_b 6.0055
_cell_length_c 11.3698
_cell_angle_alpha 90.00
_cell_angle_beta 90.00
_cell_angle_gamma 90.00
loop_
_symmetry_equiv_pos_as_xyz
'x,y,z'
loop_
_atom_site_label
_atom_site_type_symbol
_atom_site_fract_x
_atom_site_fract_y
_atom_site_fract_z
Ga1 Ga 0.0000 0.0000 0.0000
Ga2 Ga 0.0000 0.5000 0.2500
Ga3 Ga 0.5000 0.0000 0.7500
Ga4 Ga 0.5000 0.5000 0.5000
Ag1 Ag 0.0000 0.0000 0.5000
Ag2 Ag 0.5000 0.5000 0.0000
Au1 Au 0.0000 0.5000 0.7500
Au2 Au 0.5000 0.0000 0.2500
Se1 Se 0.2249 0.2481 0.1259
Se2 Se 0.2481 0.7751 0.8741
Se3 Se 0.2519 0.7249 0.3741
Se4 Se 0.2751 0.2519 0.6259
Se5 Se 0.7249 0.7481 0.6259
Se6 Se 0.7481 0.2751 0.3741
Se7 Se 0.7519 0.2249 0.8741
Se8 Se 0.7751 0.7519 0.1259
```